1.
Diffraction record for Ho3GeTe2. The powder X-ray diffraction pattern is computed, not measured: it uses a structure optimized by DFT (GGA-PBE) and Cu Kα X-rays.

Peak list (10 most intense, 10 to 90 degrees two-theta, by angle)
| d/Å | I_rel |
| --- | --- |
| 3.037 | 50 |
| 3.023 | 100 |
| 2.156 | 34 |
| 2.142 | 18 |
| 2.134 | 18 |
| 2.129 | 38 |
| 1.746 | 18 |
| 1.735 | 11 |
| 1.512 | 11 |
| 1.350 | 15 |

Cell and atoms:
```
Ho3GeTe2
1.0
3.747 -6.402 0.000
3.747 6.402 0.000
-2.474 0.000 6.942
Ho Ge Te
6 2 4
Cartesian
1.874 3.201 0.000 Ho
0.394 0.938 3.429 Ho
-0.843 -0.938 6.900 Ho
0.637 -3.201 3.471 Ho
5.864 0.938 0.042 Ho
4.627 -0.938 3.513 Ho
3.129 5.246 1.736 Ge
1.892 -5.246 5.207 Ge
1.892 3.081 5.207 Te
3.129 1.034 1.736 Te
1.892 -1.034 5.207 Te
3.129 -3.081 1.736 Te
```


2.
Diffraction record for La4SmHo2. The powder X-ray diffraction pattern is computed, not measured: it uses a structure optimized by DFT (GGA-PBE) and Cu Kα X-rays.

Peak list (10 most intense, 10 to 90 degrees two-theta, by angle)
| d/Å | I_rel |
| --- | --- |
| 3.006 | 100 |
| 2.953 | 28 |
| 2.883 | 34 |
| 2.882 | 34 |
| 2.826 | 28 |
| 2.807 | 21 |
| 2.464 | 30 |
| 1.834 | 21 |
| 1.692 | 16 |
| 1.551 | 14 |

Cell and atoms:
```
La4SmHo2
1.0
3.273 -12.332 0.000
3.273 12.332 0.000
-3.269 0.000 6.084
La Sm Ho
8 2 4
Cartesian
1.639 11.869 3.042 La
1.466 4.867 4.404 La
3.280 5.705 1.632 La
1.476 1.299 3.299 La
3.111 -1.299 0.257 La
3.101 -4.867 1.362 La
1.645 -5.705 4.673 La
3.273 -11.869 0.000 La
3.080 9.254 0.804 Sm
1.446 -9.254 3.845 Sm
1.778 8.446 4.120 Ho
3.408 2.283 0.531 Ho
1.773 -2.283 3.573 Ho
3.412 -8.446 1.078 Ho
```


3.
Diffraction record for Fe5Ni2Ir. The powder X-ray diffraction pattern is computed, not measured: it uses a structure optimized by DFT (GGA-PBE) and Cu Kα X-rays.

Peak list (10 most intense, 10 to 90 degrees two-theta, by angle)
| d/Å | I_rel |
| --- | --- |
| 4.187 | 28 |
| 3.626 | 14 |
| 2.564 | 11 |
| 2.187 | 16 |
| 2.093 | 100 |
| 1.813 | 47 |
| 1.664 | 7 |
| 1.622 | 6 |
| 1.282 | 28 |
| 1.093 | 34 |

Cell and atoms:
```
Fe5Ni2Ir
1.0
-2.564 2.564 3.627
2.564 -2.564 3.627
2.564 2.564 -3.627
Fe Ni Ir
5 2 1
Cartesian
0.000 0.000 0.000 Fe
1.282 1.282 -1.814 Fe
1.282 -1.282 1.814 Fe
-1.282 1.282 1.814 Fe
1.282 1.282 1.814 Fe
2.564 0.000 0.000 Ni
0.000 2.564 0.000 Ni
0.000 0.000 3.627 Ir
```


4.
Diffraction record for LiYSn. The powder X-ray diffraction pattern is computed, not measured: it uses a structure optimized by DFT (GGA-PBE) and Cu Kα X-rays.

Peak list (10 most intense, 10 to 90 degrees two-theta, by angle)
| d/Å | I_rel |
| --- | --- |
| 7.569 | 32 |
| 3.784 | 36 |
| 3.030 | 48 |
| 2.637 | 100 |
| 2.523 | 15 |
| 2.330 | 20 |
| 2.067 | 14 |
| 1.984 | 12 |
| 1.772 | 20 |
| 1.397 | 14 |

Cell and atoms:
```
LiYSn
1.0
2.330 -7.569 0.000
2.330 7.569 0.000
0.000 0.000 4.134
Li Y Sn
2 2 2
Cartesian
0.000 0.000 0.000 Li
2.330 0.000 2.067 Li
2.330 5.056 2.067 Y
2.330 -5.056 2.067 Y
2.330 2.145 0.000 Sn
2.330 -2.145 0.000 Sn
```